# Y3Hg2Pt
Simulated powder X-ray diffraction pattern, CuKα. Input: a crystal structure in Alexandria, relaxed with GGA-PBE.

Top 12 peaks for 10° ≤ 2θ ≤ 80°, sorted by position:
d [Å]  intensity
3.681  9
3.637  16
2.587  100
2.572  50
2.108  9
1.841  9
1.819  18
1.642  5
1.497  17
1.488  37
1.294  11
1.286  6

Cell and atoms:
```
data_Y3Hg2Pt
_chemical_formula_sum 'Y3 Hg2 Pt1'
_space_group_name_H-M_alt 'P 4/m m m'
_space_group_IT_number 123
_space_group_name_Hall '-P 4 2'
_cell_length_a 3.637
_cell_length_b 3.637
_cell_length_c 11.043
_cell_angle_alpha 90.00
_cell_angle_beta 90.00
_cell_angle_gamma 90.00
loop_
_atom_site_label
_atom_site_type_symbol
_atom_site_fract_x
_atom_site_fract_y
_atom_site_fract_z
_atom_site_occupancy
Y1 Y 0.000 0.000 0.000 1
Y2 Y 0.000 0.000 0.350 1
Hg1 Hg 0.500 0.500 0.170 1
Pt1 Pt 0.500 0.500 0.500 1
```